# Zr4Ga6Rh7
Computed powder diffraction line list, Cu Kα. Input: DFT lattice parameters and positions (GGA-PBE).
Lines closer than 0.1° are merged.

Atomic structure:
a = 7.125 Å, b = 7.125 Å, c = 7.125 Å
α = 109.47°, β = 109.47°, γ = 109.47°
Fractional positions:
1 Zr 0.000 0.000 0.500
2 Zr 0.000 0.500 0.000
3 Zr 0.500 0.000 0.000
4 Zr 0.500 0.500 0.500
5 Ga 0.000 0.311 0.311
6 Ga 0.000 0.689 0.689
7 Ga 0.311 0.000 0.311
8 Ga 0.311 0.311 0.000
9 Ga 0.689 0.000 0.689
10 Ga 0.689 0.689 0.000
11 Rh 0.000 0.000 0.000
12 Rh 0.250 0.500 0.750
13 Rh 0.250 0.750 0.500
14 Rh 0.500 0.250 0.750
15 Rh 0.500 0.750 0.250
16 Rh 0.750 0.250 0.500
17 Rh 0.750 0.500 0.250

Main lines, by angle (2θ from 10° to 90°):
| 2θ (°) | I (rel.) |
| --- | --- |
| 37.88 | 100 |
| 41.05 | 27 |
| 44.03 | 65 |
| 46.85 | 10 |
| 52.15 | 18 |
| 64.02 | 34 |
| 76.86 | 25 |
| 78.92 | 11 |
| 80.97 | 9 |
| 87.04 | 10 |



# TbPaAgIr
Computed powder diffraction line list, Cu Kα. Input: DFT lattice parameters and positions (GGA-PBE).
Lines closer than 0.1° are merged.

Atomic structure:
a = 7.071 Å, b = 7.071 Å, c = 7.071 Å
α = 90.00°, β = 90.00°, γ = 90.00°
Fractional positions:
1 Tb 0.000 0.000 0.000
2 Tb 0.000 0.500 0.500
3 Tb 0.500 0.000 0.500
4 Tb 0.500 0.500 0.000
5 Pa 0.000 0.000 0.500
6 Pa 0.000 0.500 0.000
7 Pa 0.500 0.000 0.000
8 Pa 0.500 0.500 0.500
9 Ag 0.250 0.250 0.250
10 Ag 0.250 0.750 0.750
11 Ag 0.750 0.250 0.750
12 Ag 0.750 0.750 0.250
13 Ir 0.250 0.250 0.750
14 Ir 0.250 0.750 0.250
15 Ir 0.750 0.250 0.250
16 Ir 0.750 0.750 0.750

Main lines, by angle (2θ from 10° to 90°):
| 2θ (°) | I (rel.) |
| --- | --- |
| 21.77 | 5 |
| 25.19 | 2 |
| 35.92 | 100 |
| 42.39 | 3 |
| 51.71 | 18 |
| 56.75 | 1 |
| 64.56 | 37 |
| 76.15 | 11 |
| 80.33 | 1 |
| 87.18 | 17 |



# ZrHgSbI2
Computed powder diffraction line list, Cu Kα. Input: DFT lattice parameters and positions (GGA-PBE).
Lines closer than 0.1° are merged.

Atomic structure:
a = 5.769 Å, b = 5.769 Å, c = 5.706 Å
α = 90.00°, β = 90.00°, γ = 90.00°
Fractional positions:
1 Zr 0.000 0.000 0.000
2 Hg 0.500 0.500 0.500
3 Sb 0.000 0.000 0.500
4 I 0.000 0.500 0.000
5 I 0.500 0.000 0.000

Main lines, by angle (2θ from 10° to 90°):
| 2θ (°) | I (rel.) |
| --- | --- |
| 21.91 | 21 |
| 26.87 | 100 |
| 31.00 | 67 |
| 31.35 | 33 |
| 44.42 | 25 |
| 44.67 | 49 |
| 52.68 | 31 |
| 53.13 | 15 |
| 55.37 | 26 |
| 81.97 | 17 |



# LiNb2P2O10
Computed powder diffraction line list, Cu Kα. Input: DFT lattice parameters and positions (GGA-PBE).
Lines closer than 0.1° are merged.

Atomic structure:
a = 6.507 Å, b = 6.507 Å, c = 5.046 Å
α = 90.00°, β = 90.00°, γ = 90.00°
Fractional positions:
1 Li 0.000 0.000 0.000
2 Nb 0.000 0.500 0.767
3 Nb 0.500 0.000 0.233
4 P 0.000 0.000 0.500
5 P 0.500 0.500 0.500
6 O 0.000 0.184 0.691
7 O 0.000 0.500 0.114
8 O 0.000 0.816 0.691
9 O 0.184 0.000 0.309
10 O 0.306 0.500 0.675
11 O 0.500 0.000 0.886
12 O 0.500 0.306 0.325
13 O 0.500 0.694 0.325
14 O 0.694 0.500 0.675
15 O 0.816 0.000 0.309

Main lines, by angle (2θ from 10° to 90°):
| 2θ (°) | I (rel.) |
| --- | --- |
| 19.29 | 17 |
| 22.29 | 100 |
| 26.21 | 25 |
| 27.41 | 68 |
| 35.60 | 21 |
| 40.79 | 21 |
| 45.51 | 31 |
| 56.55 | 18 |
| 57.82 | 23 |
| 63.96 | 15 |



Q: Which formula does entry 2 have?
A: TbPaAgIr



Please write out number 3 again, unchanged.
# ZrHgSbI2
Computed powder diffraction line list, Cu Kα. Input: DFT lattice parameters and positions (GGA-PBE).
Lines closer than 0.1° are merged.

Atomic structure:
a = 5.769 Å, b = 5.769 Å, c = 5.706 Å
α = 90.00°, β = 90.00°, γ = 90.00°
Fractional positions:
1 Zr 0.000 0.000 0.000
2 Hg 0.500 0.500 0.500
3 Sb 0.000 0.000 0.500
4 I 0.000 0.500 0.000
5 I 0.500 0.000 0.000

Main lines, by angle (2θ from 10° to 90°):
| 2θ (°) | I (rel.) |
| --- | --- |
| 21.91 | 21 |
| 26.87 | 100 |
| 31.00 | 67 |
| 31.35 | 33 |
| 44.42 | 25 |
| 44.67 | 49 |
| 52.68 | 31 |
| 53.13 | 15 |
| 55.37 | 26 |
| 81.97 | 17 |